# Li2FeSi4O10
Calculated powder XRD pattern, Cu Kα. Input: a cell relaxed with GGA+U.

Largest 10 diffraction maxima, most intense first, 5 to 70 degrees two-theta:
Position (°2θ)  d (Å)  I (rel.)  index
23.31  3.816  100  1 2 1
13.44  6.587  51  0 1 0
28.67  3.113  42  0 1 3
19.81  4.481  33  0 0 2
17.72  5.004  29  1 0 -1
30.67  2.915  28  2 2 0
17.11  5.183  26  1 0 1
30.16  2.963  23  2 1 -1
28.24  3.160  21  -1 1 2
39.05  2.307  19  0 3 1

Atomic structure:
a b c (Å): 6.8819 7.7136 9.6141
angles (deg): 68.88 79.11 64.09
Element x y z (fractional)
Li 0.1124 0.2041 0.3988
Li 0.3321 0.3061 0.9608
Li 0.6679 0.6939 0.0392
Li 0.8876 0.7959 0.6012
Fe 0.4178 0.8015 0.5757
Fe 0.5822 0.1985 0.4243
Si 0.0934 0.7709 0.8562
Si 0.2179 0.5676 0.1827
Si 0.2270 0.1313 0.7389
Si 0.3294 0.9005 0.2222
Si 0.6706 0.0995 0.7778
Si 0.7730 0.8687 0.2611
Si 0.7821 0.4324 0.8173
Si 0.9066 0.2291 0.1438
O 0.0227 0.3456 0.7393
O 0.1645 0.9471 0.8556
O 0.1670 0.7021 0.7103
O 0.1767 0.1319 0.1135
O 0.1914 0.5754 0.0100
O 0.2564 0.8857 0.3919
O 0.3003 0.1100 0.5751
O 0.3368 0.7215 0.1620
O 0.3494 0.3370 0.2758
O 0.4185 0.1259 0.8244
O 0.5815 0.8741 0.1756
O 0.6506 0.6630 0.7242
O 0.6632 0.2785 0.8380
O 0.6997 0.8900 0.4249
O 0.7436 0.1143 0.6081
O 0.8086 0.4246 0.9900
O 0.8233 0.8681 0.8865
O 0.8330 0.2979 0.2897
O 0.8355 0.0529 0.1444
O 0.9773 0.6544 0.2607